Calculated powder X-ray diffraction pattern of Sm3NbS3O4 for Cu Ka, from the GGA-PBE geometry in the Materials Project.

Crystal structure
Cell lengths 6.739, 14.368, 7.724 Å; angles 90.00, 90.00, 90.00 degrees
Sites, in units of the cell vectors:
1 Sm 0.217 0.155 0.000
2 Sm 0.222 0.918 0.244
3 Sm 0.229 0.169 0.489
4 Sm 0.271 0.669 0.989
5 Sm 0.278 0.418 0.744
6 Sm 0.283 0.655 0.500
7 Sm 0.717 0.345 0.000
8 Sm 0.722 0.582 0.244
9 Sm 0.729 0.331 0.489
10 Sm 0.771 0.831 0.989
11 Sm 0.778 0.082 0.744
12 Sm 0.783 0.845 0.500
13 Nb 0.179 0.927 0.759
14 Nb 0.321 0.427 0.259
15 Nb 0.679 0.573 0.759
16 Nb 0.821 0.073 0.259
17 S 0.002 0.273 0.755
18 S 0.032 0.492 0.464
19 S 0.049 0.299 0.234
20 S 0.451 0.799 0.734
21 S 0.468 0.992 0.964
22 S 0.498 0.773 0.255
23 S 0.502 0.227 0.755
24 S 0.532 0.008 0.464
25 S 0.549 0.201 0.234
26 S 0.951 0.701 0.734
27 S 0.968 0.508 0.964
28 S 0.998 0.727 0.255
29 O 0.118 0.861 0.973
30 O 0.124 0.887 0.524
31 O 0.134 0.073 0.258
32 O 0.142 0.062 0.737
33 O 0.358 0.562 0.237
34 O 0.366 0.573 0.758
35 O 0.376 0.387 0.024
36 O 0.382 0.361 0.473
37 O 0.618 0.639 0.973
38 O 0.624 0.613 0.524
39 O 0.634 0.427 0.258
40 O 0.642 0.438 0.737
41 O 0.858 0.938 0.237
42 O 0.866 0.927 0.758
43 O 0.876 0.113 0.024
44 O 0.882 0.139 0.473

Top 8 peaks for 10 to 90 degrees two-theta, in order of rising 2θ:
- 2θ = 26.45°, I 28.6, (2 0 0)
- 2θ = 28.15°, I 54.1, (1 4 0)
- 2θ = 29.41°, I 100.0, (1 2 2)
- 2θ = 37.57°, I 29.9, (2 2 2)
- 2θ = 44.52°, I 33.3, (0 6 2)
- 2θ = 47.06°, I 17.6, (0 0 4)
- 2θ = 48.57°, I 20.3, (3 2 2)
- 2θ = 52.53°, I 20.7, (2 6 2)